No. 1
This entry pairs a crystal structure of LiPuBi2O6 with its calculated XRD peak list. Radiation: copper Kα. Structure: a crystal structure in Alexandria, relaxed with PBE.
No peak broadening, texture or thermal motion is included.

a = 6.048 Å, b = 6.048 Å, c = 6.048 Å
α = 58.21°, β = 58.21°, γ = 58.21°
Fractional coordinates of all 10 atoms:
Li1 0.000 0.000 0.000
Pu1 0.482 0.482 0.482
Bi1 0.271 0.271 0.271
Bi2 0.779 0.779 0.779
O1 0.131 0.684 0.351
O2 0.201 0.611 0.837
O3 0.351 0.131 0.684
O4 0.611 0.837 0.201
O5 0.684 0.351 0.131
O6 0.837 0.201 0.611

The 10 most intense peaks (2θ from 5° to 70°), sorted by position:
17.72°, intensity 21
18.39°, intensity 45
21.07°, intensity 40
29.56°, intensity 87
30.38°, intensity 100
35.39°, intensity 25
42.90°, intensity 38
47.72°, intensity 43
53.48°, intensity 38
53.99°, intensity 28

=====

No. 2
This entry pairs a crystal structure of Li4Pu3BiO12 with its calculated XRD peak list. Radiation: copper Kα. Structure: a crystal structure in Alexandria, relaxed with PBE.
No peak broadening, texture or thermal motion is included.

a = 6.935 Å, b = 6.935 Å, c = 6.935 Å
α = 106.61°, β = 106.61°, γ = 106.61°
Fractional coordinates of all 20 atoms:
Li1 0.000 0.000 0.000
Li2 0.000 0.437 0.563
Li3 0.437 0.563 0.000
Li4 0.563 0.000 0.437
Pu1 0.058 0.942 0.500
Pu2 0.500 0.058 0.942
Pu3 0.942 0.500 0.058
Bi1 0.500 0.500 0.500
O1 0.000 0.607 0.393
O2 0.000 0.835 0.165
O3 0.165 0.000 0.835
O4 0.167 0.265 0.530
O5 0.265 0.530 0.167
O6 0.393 0.000 0.607
O7 0.470 0.735 0.833
O8 0.530 0.167 0.265
O9 0.607 0.393 0.000
O10 0.735 0.833 0.470
O11 0.833 0.470 0.735
O12 0.835 0.165 0.000

The 10 most intense peaks (2θ from 5° to 70°), sorted by position:
15.94°, intensity 40
21.64°, intensity 100
26.99°, intensity 19
29.33°, intensity 53
32.20°, intensity 19
35.49°, intensity 19
40.84°, intensity 26
47.69°, intensity 17
50.13°, intensity 12
58.28°, intensity 14

=====

No. 3
This entry pairs a crystal structure of RbLiBiO2 with its calculated XRD peak list. Radiation: copper Kα. Structure: a crystal structure in Alexandria, relaxed with PBE.
No peak broadening, texture or thermal motion is included.

a = 7.024 Å, b = 3.891 Å, c = 7.686 Å
α = 90.00°, β = 106.31°, γ = 90.00°
Fractional coordinates of all 10 atoms:
Rb1 0.000 0.132 0.250
Rb2 0.000 0.868 0.750
Li1 0.500 0.000 0.000
Li2 0.500 0.000 0.500
Bi1 0.500 0.494 0.750
Bi2 0.500 0.506 0.250
O1 0.297 0.373 0.949
O2 0.297 0.627 0.449
O3 0.703 0.373 0.551
O4 0.703 0.627 0.051

The 10 most intense peaks (2θ from 5° to 70°), sorted by position:
13.13°, intensity 41
22.85°, intensity 18
24.12°, intensity 43
26.45°, intensity 100
30.49°, intensity 29
33.42°, intensity 42
38.64°, intensity 27
46.68°, intensity 16
47.23°, intensity 19
53.19°, intensity 22

=====

No. 4
This entry pairs a crystal structure of Li2BiRuO6 with its calculated XRD peak list. Radiation: copper Kα. Structure: a crystal structure in Alexandria, relaxed with PBE.
No peak broadening, texture or thermal motion is included.

a = 5.692 Å, b = 5.692 Å, c = 4.498 Å
α = 90.00°, β = 90.00°, γ = 90.00°
Fractional coordinates of all 10 atoms:
Li1 0.000 0.500 0.000
Li2 0.500 0.000 0.000
Bi1 0.000 0.000 0.733
Ru1 0.500 0.500 0.723
O1 0.000 0.000 0.265
O2 0.274 0.274 0.852
O3 0.274 0.726 0.852
O4 0.500 0.500 0.344
O5 0.726 0.274 0.852
O6 0.726 0.726 0.852

The 10 most intense peaks (2θ from 5° to 70°), sorted by position:
19.74°, intensity 63
22.09°, intensity 100
29.79°, intensity 67
31.43°, intensity 30
37.39°, intensity 27
45.05°, intensity 23
46.24°, intensity 29
49.63°, intensity 22
54.95°, intensity 25
66.55°, intensity 27